(1)
The following is a calculated powder diffractogram of CaGeCl6. It was derived from a cell relaxed with GGA-PBE, using Cu Kα (weighted mean of Kα1 and Kα2).

Structural model:
Lattice parameters (Å, degrees): 6.418 12.341 6.353 90.00 105.98 90.00
Space group C2/m (No. 12)
Inequivalent atoms, fractional coordinates:
Ca 0.000 0.000 0.000 (multiplicity 2)
Ge 0.000 0.500 0.500 (multiplicity 2)
Cl 0.209 0.365 0.716 (multiplicity 8)
Cl 0.232 0.500 0.274 (multiplicity 4)

Peak list (6 most intense, 2θ = 15–90°, by angle)
| 2θ (°) | d [Å] | Rel. int. |
| --- | --- | --- |
| 16.1 | 5.519 | 26 |
| 18.8 | 4.712 | 91 |
| 31.9 | 2.808 | 100 |
| 35.2 | 2.549 | 45 |
| 43.6 | 2.077 | 27 |
| 48.4 | 1.880 | 26 |

(2)
The following is a calculated powder diffractogram of K2ErPdO4. It was derived from a cell relaxed with GGA-PBE, using Cu Kα (weighted mean of Kα1 and Kα2).

Structural model:
Lattice parameters (Å, degrees): 5.912 3.309 6.615 90.00 109.97 90.00
Space group P2/m (No. 10)
Inequivalent atoms, fractional coordinates:
K 0.000 0.000 0.000 (multiplicity 1)
K 0.500 0.500 0.000 (multiplicity 1)
Er 0.000 0.500 0.500 (multiplicity 1)
Pd 0.500 0.000 0.500 (multiplicity 1)
O 0.207 0.000 0.709 (multiplicity 2)
O 0.291 0.500 0.332 (multiplicity 2)

Peak list (6 most intense, 2θ = 15–90°, by angle)
| 2θ (°) | d [Å] | Rel. int. |
| --- | --- | --- |
| 28.7 | 3.109 | 51 |
| 32.2 | 2.776 | 100 |
| 35.2 | 2.549 | 54 |
| 37.0 | 2.430 | 89 |
| 49.7 | 1.834 | 34 |
| 54.2 | 1.692 | 29 |

(3)
The following is a calculated powder diffractogram of Pm4AlTlAg2. It was derived from a cell relaxed with GGA-PBE, using Cu Kα (weighted mean of Kα1 and Kα2).

Structural model:
Lattice parameters (Å, degrees): 5.3327 5.3327 26.2792 90.00 90.00 120.00
Space group R-3m (No. 166, hexagonal axes)
Inequivalent atoms, fractional coordinates:
Pm 0.0000 0.0000 0.1221 (multiplicity 6)
Pm 0.0000 0.0000 0.3723 (multiplicity 6)
Al 0.0000 0.0000 0.0000 (multiplicity 3)
Tl 0.0000 0.0000 0.5000 (multiplicity 3)
Ag 0.0000 0.0000 0.2513 (multiplicity 6)

Peak list (6 most intense, 2θ = 15–90°, by angle)
| 2θ (°) | d [Å] | Rel. int. |
| --- | --- | --- |
| 33.5 | 2.677 | 100 |
| 33.6 | 2.666 | 100 |
| 48.2 | 1.889 | 36 |
| 59.8 | 1.547 | 18 |
| 60.0 | 1.541 | 55 |
| 80.5 | 1.193 | 16 |

(4)
The following is a calculated powder diffractogram of LiZnGa2Ag2. It was derived from a cell relaxed with GGA-PBE, using Cu Kα (weighted mean of Kα1 and Kα2).

Structural model:
Lattice parameters (Å, degrees): 6.593 5.274 7.022 90.00 113.14 90.00
Space group P2_1/m (No. 11)
Inequivalent atoms, fractional coordinates:
Li 0.206 0.250 0.308 (multiplicity 2)
Zn 0.500 0.250 0.708 (multiplicity 2)
Ga 0.277 0.503 0.881 (multiplicity 4)
Ag 0.066 0.750 0.105 (multiplicity 2)
Ag 0.309 0.750 0.555 (multiplicity 2)

Peak list (6 most intense, 2θ = 15–90°, by angle)
| 2θ (°) | d [Å] | Rel. int. |
| --- | --- | --- |
| 22.3 | 3.979 | 100 |
| 23.8 | 3.746 | 96 |
| 37.6 | 2.391 | 74 |
| 41.3 | 2.188 | 87 |
| 42.3 | 2.138 | 56 |
| 43.1 | 2.100 | 76 |

(5)
The following is a calculated powder diffractogram of V6ReSn. It was derived from a cell relaxed with GGA-PBE, using Cu Kα (weighted mean of Kα1 and Kα2).

Structural model:
Lattice parameters (Å, degrees): 5.262 9.871 4.650 90.00 102.96 90.00
Space group C2 (No. 5)
Inequivalent atoms, fractional coordinates:
V 0.000 0.000 0.000 (multiplicity 2)
V 0.000 0.359 0.500 (multiplicity 2)
V 0.232 0.239 0.983 (multiplicity 4)
V 0.242 0.108 0.493 (multiplicity 4)
Re 0.000 0.497 0.000 (multiplicity 2)
Sn 0.000 0.854 0.500 (multiplicity 2)

Peak list (6 most intense, 2θ = 15–90°, by angle)
| 2θ (°) | d [Å] | Rel. int. |
| --- | --- | --- |
| 24.8 | 3.588 | 37 |
| 39.6 | 2.275 | 50 |
| 39.8 | 2.266 | 59 |
| 40.7 | 2.218 | 65 |
| 41.7 | 2.167 | 100 |
| 48.2 | 1.888 | 39 |

(6)
The following is a calculated powder diffractogram of KRb2HgI6. It was derived from a cell relaxed with GGA-PBE, using Cu Kα (weighted mean of Kα1 and Kα2).

Structural model:
Lattice parameters (Å, degrees): 12.630 12.630 12.630 90.00 90.00 90.00
Space group Fm-3m (No. 225)
Inequivalent atoms, fractional coordinates:
K 0.000 0.000 0.000 (multiplicity 4)
Rb 0.250 0.250 0.250 (multiplicity 8)
Hg 0.000 0.000 0.500 (multiplicity 4)
I 0.000 0.000 0.264 (multiplicity 24)

Peak list (6 most intense, 2θ = 15–90°, by angle)
| 2θ (°) | d [Å] | Rel. int. |
| --- | --- | --- |
| 24.4 | 3.646 | 67 |
| 28.3 | 3.157 | 100 |
| 40.4 | 2.233 | 74 |
| 47.8 | 1.904 | 29 |
| 50.0 | 1.823 | 26 |
| 66.2 | 1.412 | 31 |

(7)
The following is a calculated powder diffractogram of NaAg3I6. It was derived from a cell relaxed with GGA-PBE, using Cu Kα (weighted mean of Kα1 and Kα2).

Structural model:
Lattice parameters (Å, degrees): 8.216 7.465 14.254 90.00 105.13 90.00
Space group P2_1/c (No. 14)
Inequivalent atoms, fractional coordinates:
Na 0.000 0.000 0.000 (multiplicity 2)
Ag 0.173 0.136 0.746 (multiplicity 4)
Ag 0.500 0.000 0.500 (multiplicity 2)
I 0.131 0.691 0.339 (multiplicity 4)
I 0.238 0.156 0.558 (multiplicity 4)
I 0.488 0.237 0.865 (multiplicity 4)

Peak list (6 most intense, 2θ = 15–90°, by angle)
| 2θ (°) | d [Å] | Rel. int. |
| --- | --- | --- |
| 18.6 | 4.772 | 100 |
| 18.9 | 4.693 | 71 |
| 22.6 | 3.937 | 100 |
| 25.4 | 3.508 | 49 |
| 28.1 | 3.175 | 48 |
| 33.9 | 2.644 | 49 |

(8)
The following is a calculated powder diffractogram of La11Tl9Zn4. It was derived from a cell relaxed with GGA-PBE, using Cu Kα (weighted mean of Kα1 and Kα2).

Structural model:
Lattice parameters (Å, degrees): 15.471 23.178 3.937 90.00 90.00 90.00
Space group Cmmm (No. 65)
Inequivalent atoms, fractional coordinates:
La 0.000 0.000 0.000 (multiplicity 2)
La 0.000 0.163 0.000 (multiplicity 4)
La 0.000 0.367 0.000 (multiplicity 4)
La 0.202 0.500 0.000 (multiplicity 4)
La 0.241 0.173 0.000 (multiplicity 8)
Tl 0.000 0.500 0.500 (multiplicity 2)
Tl 0.106 0.263 0.500 (multiplicity 8)
Tl 0.143 0.073 0.500 (multiplicity 8)
Zn 0.149 0.401 0.500 (multiplicity 8)

Peak list (6 most intense, 2θ = 15–90°, by angle)
| 2θ (°) | d [Å] | Rel. int. |
| --- | --- | --- |
| 28.8 | 3.101 | 13 |
| 30.3 | 2.946 | 13 |
| 32.5 | 2.758 | 100 |
| 32.8 | 2.733 | 49 |
| 46.1 | 1.968 | 16 |
| 57.7 | 1.597 | 20 |